The following is a simulated X-ray diffraction stick pattern of CsLi3Zn4Cl12. It was derived from the GGA-PBE geometry in Alexandria, using Cu Kα (λ = 1.5418 Å).
Intensities are scaled so that the largest is 100.

a b c (Å): 13.8940 13.8940 9.8354
angles (deg): 90.00 90.00 120.00
Space group R32 (No. 155, hexagonal axes)
Inequivalent atoms, fractional coordinates:
Cs  0.0000  0.0000  0.0000 [3 per cell]
Li  0.0000  0.5597  0.0000 [9 per cell]
Zn  0.0000  0.0000  0.5000 [3 per cell]
Zn  0.0000  0.4351  0.5000 [9 per cell]
Cl  0.0000  0.5940  0.5000 [9 per cell]
Cl  0.0000  0.8408  0.5000 [9 per cell]
Cl  0.0603  0.2374  0.1756 [18 per cell]

Main lines, low angle first (10° ≤ 2θ ≤ 90°):
d = 4.128 Å, intensity 30.4, hkl 2 1 1; d = 3.808 Å, intensity 100.0, hkl 2 0 2; d = 3.339 Å, intensity 59.8, hkl 1 2 2; d = 3.278 Å, intensity 45.0, hkl 0 0 3; d = 3.160 Å, intensity 60.8, hkl 1 3 1; d = 2.626 Å, intensity 33.5, hkl 4 1 0; d = 2.162 Å, intensity 44.2, hkl 5 0 2; d = 1.927 Å, intensity 30.5, hkl 5 2 0; d = 1.623 Å, intensity 39.8, hkl 0 7 2; d = 1.409 Å, intensity 27.5, hkl 7 0 4

=====

The following is a simulated X-ray diffraction stick pattern of CsLiZn2Cl6. It was derived from the GGA-PBE geometry in Alexandria, using Cu Kα (λ = 1.5418 Å).
Intensities are scaled so that the largest is 100.

a b c (Å): 13.2156 14.5538 7.1787
angles (deg): 90.00 108.25 90.00
Space group C2/c (No. 15)
Inequivalent atoms, fractional coordinates:
Cs  0.0000  0.1107  0.2500 [4 per cell]
Li  0.0000  0.2362  0.7500 [4 per cell]
Zn  0.1943  0.4223  0.1757 [8 per cell]
Cl  0.0876  0.3010  0.0562 [8 per cell]
Cl  0.1273  0.1077  0.7470 [8 per cell]
Cl  0.1625  0.4481  0.4798 [8 per cell]

Main lines, low angle first (10° ≤ 2θ ≤ 90°):
d = 7.277 Å, intensity 35.3, hkl 0 2 0; d = 5.006 Å, intensity 40.0, hkl 1 1 1; d = 4.421 Å, intensity 100.0, hkl 2 2 -1; d = 4.021 Å, intensity 80.6, hkl 3 1 0; d = 3.526 Å, intensity 30.0, hkl 2 2 1; d = 3.482 Å, intensity 62.9, hkl 1 1 -2; d = 2.979 Å, intensity 28.1, hkl 4 2 -1; d = 2.701 Å, intensity 27.2, hkl 2 4 1; d = 2.488 Å, intensity 23.7, hkl 0 4 2; d = 2.318 Å, intensity 23.5, hkl 5 3 -1

=====

The following is a simulated X-ray diffraction stick pattern of Cs4Mg3Cl10. It was derived from the GGA-PBE geometry in Alexandria, using Cu Kα (λ = 1.5418 Å).
Intensities are scaled so that the largest is 100.

a b c (Å): 5.1472 5.1472 37.6199
angles (deg): 90.00 90.00 90.00
Space group I4/mmm (No. 139)
Inequivalent atoms, fractional coordinates:
Cs  0.0000  0.0000  0.0677 [4 per cell]
Cs  0.0000  0.0000  0.2012 [4 per cell]
Mg  0.0000  0.0000  0.3627 [4 per cell]
Mg  0.0000  0.0000  0.5000 [2 per cell]
Cl  0.0000  0.0000  0.2966 [4 per cell]
Cl  0.0000  0.0000  0.4322 [4 per cell]
Cl  0.0000  0.5000  0.0000 [4 per cell]
Cl  0.0000  0.5000  0.1355 [8 per cell]

Main lines, low angle first (10° ≤ 2θ ≤ 90°):
d = 5.100 Å, intensity 21.4, hkl 1 0 1; d = 3.717 Å, intensity 66.3, hkl 1 0 7; d = 3.640 Å, intensity 51.2, hkl 1 1 0; d = 2.878 Å, intensity 100.0, hkl 1 1 8; d = 2.687 Å, intensity 21.7, hkl 0 0 14; d = 2.574 Å, intensity 67.4, hkl 2 0 0; d = 2.116 Å, intensity 29.4, hkl 2 1 7; d = 1.859 Å, intensity 27.0, hkl 2 0 14; d = 1.820 Å, intensity 22.4, hkl 2 2 0; d = 1.538 Å, intensity 26.8, hkl 3 1 8

=====

The following is a simulated X-ray diffraction stick pattern of Cs3MgCl5. It was derived from the GGA-PBE geometry in Alexandria, using Cu Kα (λ = 1.5418 Å).
Intensities are scaled so that the largest is 100.

a b c (Å): 9.1841 9.1841 8.1305
angles (deg): 90.00 90.00 90.00
Space group P4/mbm (No. 127)
Inequivalent atoms, fractional coordinates:
Cs  0.0000  0.0000  0.0000 [2 per cell]
Cs  0.1690  0.3310  0.5000 [4 per cell]
Mg  0.0000  0.5000  0.0000 [2 per cell]
Cl  0.0000  0.0000  0.5000 [2 per cell]
Cl  0.1323  0.6323  0.2058 [8 per cell]

Main lines, low angle first (10° ≤ 2θ ≤ 90°):
d = 5.074 Å, intensity 24.6, hkl 1 1 1; d = 4.065 Å, intensity 33.9, hkl 0 0 2; d = 3.998 Å, intensity 77.9, hkl 2 0 1; d = 3.666 Å, intensity 100.0, hkl 2 1 1; d = 3.247 Å, intensity 25.9, hkl 2 2 0; d = 2.904 Å, intensity 64.8, hkl 3 1 0; d = 2.889 Å, intensity 86.6, hkl 2 1 2; d = 2.537 Å, intensity 25.5, hkl 2 2 2; d = 2.363 Å, intensity 24.5, hkl 3 1 2; d = 2.334 Å, intensity 20.7, hkl 2 0 3

=====

The following is a simulated X-ray diffraction stick pattern of Cs4Mg2Cl. It was derived from the GGA-PBE geometry in Alexandria, using Cu Kα (λ = 1.5418 Å).
Intensities are scaled so that the largest is 100.

a b c (Å): 6.7721 6.7721 20.4762
angles (deg): 90.00 90.00 90.00
Space group I4/mmm (No. 139)
Inequivalent atoms, fractional coordinates:
Cs  0.0000  0.0000  0.1756 [4 per cell]
Cs  0.0000  0.5000  0.0000 [4 per cell]
Mg  0.0000  0.0000  0.3793 [4 per cell]
Cl  0.0000  0.0000  0.0000 [2 per cell]

Main lines, low angle first (10° ≤ 2θ ≤ 90°):
d = 6.430 Å, intensity 24.4, hkl 1 0 1; d = 4.805 Å, intensity 34.5, hkl 1 0 3; d = 4.338 Å, intensity 100.0, hkl 1 1 2; d = 3.500 Å, intensity 82.3, hkl 1 1 4; d = 3.413 Å, intensity 28.4, hkl 0 0 6; d = 3.386 Å, intensity 72.3, hkl 2 0 0; d = 2.404 Å, intensity 42.9, hkl 2 0 6; d = 2.394 Å, intensity 27.6, hkl 2 2 0; d = 2.096 Å, intensity 28.6, hkl 3 1 2; d = 1.976 Å, intensity 26.7, hkl 3 1 4

=====

The following is a simulated X-ray diffraction stick pattern of Cs2MgCl3. It was derived from the GGA-PBE geometry in Alexandria, using Cu Kα (λ = 1.5418 Å).
Intensities are scaled so that the largest is 100.

a b c (Å): 4.9053 5.2346 17.3753
angles (deg): 90.00 90.00 90.00
Space group Immm (No. 71)
Inequivalent atoms, fractional coordinates:
Cs  0.0000  0.0000  0.1439 [4 per cell]
Mg  0.0000  0.0000  0.5000 [2 per cell]
Cl  0.0000  0.0000  0.3528 [4 per cell]
Cl  0.0000  0.5000  0.5000 [2 per cell]

Main lines, low angle first (10° ≤ 2θ ≤ 90°):
d = 5.012 Å, intensity 34.0, hkl 0 1 1; d = 4.344 Å, intensity 41.1, hkl 0 0 4; d = 3.883 Å, intensity 27.6, hkl 0 1 3; d = 3.743 Å, intensity 56.4, hkl 1 0 3; d = 3.579 Å, intensity 100.0, hkl 1 1 0; d = 2.762 Å, intensity 87.8, hkl 1 1 4; d = 2.617 Å, intensity 31.8, hkl 0 2 0; d = 2.453 Å, intensity 26.2, hkl 2 0 0; d = 2.145 Å, intensity 24.7, hkl 1 2 3; d = 1.562 Å, intensity 24.8, hkl 3 1 0

=====

The following is a simulated X-ray diffraction stick pattern of CsMg2PaCl8. It was derived from the GGA-PBE geometry in Alexandria, using Cu Kα (λ = 1.5418 Å).
Intensities are scaled so that the largest is 100.

a b c (Å): 6.6850 6.6850 31.9994
angles (deg): 90.00 90.00 120.00
Space group R-3 (No. 148, hexagonal axes)
Inequivalent atoms, fractional coordinates:
Cs  0.0000  0.0000  0.0000 [3 per cell]
Mg  0.0000  0.0000  0.2456 [6 per cell]
Pa  0.0000  0.0000  0.5000 [3 per cell]
Cl  0.0000  0.0000  0.3167 [6 per cell]
Cl  0.0020  0.3310  0.8855 [18 per cell]

Main lines, low angle first (10° ≤ 2θ ≤ 90°):
d = 5.444 Å, intensity 53.6, hkl 0 1 2; d = 5.333 Å, intensity 21.2, hkl 0 0 6; d = 4.690 Å, intensity 100.0, hkl 1 0 4; d = 3.342 Å, intensity 38.0, hkl 1 1 0; d = 3.291 Å, intensity 30.1, hkl 0 1 8; d = 2.832 Å, intensity 70.0, hkl 2 -1 6; d = 2.722 Å, intensity 26.3, hkl 0 2 4; d = 2.111 Å, intensity 25.1, hkl 2 1 4; d = 2.085 Å, intensity 39.6, hkl 1 1 12; d = 1.930 Å, intensity 27.0, hkl 3 0 0

=====

The following is a simulated X-ray diffraction stick pattern of Cs3Mg2PbCl9. It was derived from the GGA-PBE geometry in Alexandria, using Cu Kα (λ = 1.5418 Å).
Intensities are scaled so that the largest is 100.

a b c (Å): 7.5015 7.5015 9.2581
angles (deg): 90.00 90.00 120.00
Space group P-3m1 (No. 164)
Inequivalent atoms, fractional coordinates:
Cs  0.0000  0.0000  0.0000 [1 per cell]
Cs  0.3333  0.6667  0.6707 [2 per cell]
Mg  0.3333  0.6667  0.1527 [2 per cell]
Pb  0.0000  0.0000  0.5000 [1 per cell]
Cl  0.0000  0.5000  0.0000 [3 per cell]
Cl  0.1769  0.3539  0.3156 [6 per cell]

Main lines, low angle first (10° ≤ 2θ ≤ 90°):
d = 6.496 Å, intensity 21.5, hkl 1 0 0; d = 3.770 Å, intensity 82.5, hkl 0 1 2; d = 3.751 Å, intensity 72.5, hkl 1 1 0; d = 3.065 Å, intensity 38.6, hkl 0 2 1; d = 2.659 Å, intensity 100.0, hkl 2 0 2; d = 2.180 Å, intensity 19.3, hkl 1 0 4; d = 2.168 Å, intensity 51.7, hkl 3 0 0; d = 1.885 Å, intensity 31.9, hkl 0 2 4; d = 1.875 Å, intensity 32.0, hkl 2 2 0; d = 1.418 Å, intensity 20.3, hkl 2 3 2